# SrI2O2
Calculated powder diffraction line list, Cu Kα (λ = 1.5418 Å). Input: a PBE-relaxed structure.

Peak list (12 most intense, 5° ≤ 2θ ≤ 70°, in order of rising 2θ)
hkl 0 2 0, 15.02 deg, I = 45
hkl 1 1 1, 22.77 deg, I = 92
hkl 0 3 1, 23.89 deg, I = 29
hkl 1 2 -1, 25.11 deg, I = 29
hkl 0 3 2, 27.39 deg, I = 24
hkl 1 1 -3, 29.56 deg, I = 39
hkl 1 3 0, 29.89 deg, I = 21
hkl 0 0 4, 30.76 deg, I = 58
hkl 1 3 1, 31.35 deg, I = 100
hkl 1 3 -3, 36.73 deg, I = 37
hkl 2 0 -2, 40.66 deg, I = 25
hkl 2 0 2, 43.74 deg, I = 25

Crystal structure
```
data_SrI2O2
_chemical_formula_sum 'Sr4 I8 O8'
_cell_length_a 4.6279
_cell_length_b 11.7930
_cell_length_c 11.6893
_cell_angle_alpha 90.00
_cell_angle_beta 95.85
_cell_angle_gamma 90.00
_symmetry_space_group_name_H-M 'P 1 21/c 1'
_symmetry_Int_Tables_number 14
loop_
_symmetry_equiv_pos_as_xyz
'x,y,z'
'-x,-y,-z'
'-x,y+1/2,-z+1/2'
'x,-y+1/2,z+1/2'
loop_
_atom_site_label
_atom_site_fract_x
_atom_site_fract_y
_atom_site_fract_z
Sr1 0.1099 0.1782 0.3599
I1 0.1053 0.0128 0.8882
I2 0.3157 0.0630 0.6318
O1 0.3781 0.7474 0.0935
O2 0.4095 0.7248 0.2098
```

# SrI2O2
Calculated powder diffraction line list, Cu Kα (λ = 1.5418 Å). Input: a PBE-relaxed structure.

Peak list (12 most intense, 5° ≤ 2θ ≤ 70°, in order of rising 2θ)
hkl 1 0 1, 10.25 deg, I = 34
hkl 0 0 4, 25.10 deg, I = 27
hkl 3 0 1, 25.38 deg, I = 28
hkl 1 1 2, 26.32 deg, I = 100
hkl 2 1 0, 27.16 deg, I = 48
hkl 3 0 2, 27.65 deg, I = 61
hkl 0 1 3, 28.73 deg, I = 51
hkl 1 0 5, 32.61 deg, I = 27
hkl 3 1 2, 35.34 deg, I = 40
hkl 0 2 0, 43.95 deg, I = 22
hkl 3 1 5, 46.22 deg, I = 30
hkl 0 1 7, 50.15 deg, I = 23

Crystal structure
```
data_SrI2O2
_chemical_formula_sum 'Sr4 I8 O8'
_cell_length_a 10.8658
_cell_length_b 4.1207
_cell_length_c 14.1914
_cell_angle_alpha 90.00
_cell_angle_beta 90.00
_cell_angle_gamma 90.00
_symmetry_space_group_name_H-M 'P n m a'
_symmetry_Int_Tables_number 62
loop_
_symmetry_equiv_pos_as_xyz
'x,y,z'
'-x,-y,-z'
'-x+1/2,-y,z+1/2'
'x+1/2,y,-z+1/2'
'x+1/2,-y+1/2,-z+1/2'
'-x+1/2,y+1/2,z+1/2'
'-x,y+1/2,-z'
'x,-y+1/2,z'
loop_
_atom_site_label
_atom_site_fract_x
_atom_site_fract_y
_atom_site_fract_z
Sr1 0.1931 0.2500 0.1233
I1 0.0900 0.7500 0.3201
I2 0.1274 0.7500 0.8963
O1 0.1920 0.7500 0.0264
O2 0.2230 0.7500 0.2244
```

# SrI2O2
Calculated powder diffraction line list, Cu Kα (λ = 1.5418 Å). Input: a PBE-relaxed structure.

Peak list (12 most intense, 5° ≤ 2θ ≤ 70°, in order of rising 2θ)
hkl 1 -1 1, 23.14 deg, I = 85
hkl 1 1 1, 23.27 deg, I = 94
hkl -1 2 1, 24.94 deg, I = 48
hkl 1 2 -1, 25.11 deg, I = 45
hkl 0 3 1, 25.45 deg, I = 31
hkl 1 1 -3, 28.15 deg, I = 100
hkl 0 3 -2, 28.71 deg, I = 82
hkl 0 3 2, 28.81 deg, I = 85
hkl 0 0 4, 30.74 deg, I = 88
hkl 1 -2 3, 36.48 deg, I = 29
hkl 1 3 -3, 36.64 deg, I = 31
hkl 2 0 -2, 38.62 deg, I = 49

Crystal structure
```
data_SrI2O2
_chemical_formula_sum 'Sr4 I8 O8'
_cell_length_a 4.7724
_cell_length_b 11.0112
_cell_length_c 11.8460
_cell_angle_alpha 90.14
_cell_angle_beta 100.84
_cell_angle_gamma 90.42
_symmetry_space_group_name_H-M 'P 1'
_symmetry_Int_Tables_number 1
loop_
_symmetry_equiv_pos_as_xyz
'x,y,z'
loop_
_atom_site_label
_atom_site_fract_x
_atom_site_fract_y
_atom_site_fract_z
Sr1 0.0000 0.0000 0.0000
Sr2 0.0048 0.0266 0.4923
Sr3 0.1847 0.4747 0.1937
Sr4 0.1974 0.5483 0.6942
I1 0.0040 0.7251 0.4555
I2 0.0053 0.2958 0.9530
I3 0.2288 0.2404 0.7113
I4 0.2331 0.7865 0.2165
I5 0.5993 0.3631 0.4581
I6 0.6321 0.6488 0.9584
I7 0.7856 0.8155 0.7600
I8 0.8125 0.1979 0.2532
O1 0.4686 0.0215 0.9340
O2 0.4773 0.9977 0.4357
O3 0.5155 0.9519 0.0312
O4 0.5289 0.0576 0.5397
O5 0.6282 0.4987 0.0973
O6 0.6366 0.5188 0.5973
O7 0.6957 0.5315 0.2151
O8 0.7040 0.4888 0.7143
```

# TbIO9
Calculated powder diffraction line list, Cu Kα (λ = 1.5418 Å). Input: a PBE-relaxed structure.

Peak list (12 most intense, 5° ≤ 2θ ≤ 70°, in order of rising 2θ)
hkl 1 1 -1, 15.03 deg, I = 90
hkl 1 0 0, 15.87 deg, I = 42
hkl 1 1 0, 17.77 deg, I = 25
hkl 1 2 -1, 20.44 deg, I = 60
hkl 0 0 2, 22.39 deg, I = 100
hkl 1 3 0, 28.88 deg, I = 25
hkl 1 3 -2, 30.12 deg, I = 30
hkl 2 2 -1, 31.24 deg, I = 59
hkl 1 2 -3, 31.68 deg, I = 30
hkl 2 2 -3, 33.52 deg, I = 37
hkl 0 4 1, 34.13 deg, I = 27
hkl 2 2 1, 43.48 deg, I = 32

Crystal structure
```
data_TbIO9
_chemical_formula_sum 'Tb4 I4 O36'
_cell_length_a 7.0039
_cell_length_b 11.1347
_cell_length_c 9.9623
_cell_angle_alpha 90.00
_cell_angle_beta 127.13
_cell_angle_gamma 90.00
_symmetry_space_group_name_H-M 'P 1 21/c 1'
_symmetry_Int_Tables_number 14
loop_
_symmetry_equiv_pos_as_xyz
'x,y,z'
'-x,-y,-z'
'-x,y+1/2,-z+1/2'
'x,-y+1/2,z+1/2'
loop_
_atom_site_label
_atom_site_fract_x
_atom_site_fract_y
_atom_site_fract_z
Tb1 0.2475 0.0821 0.2138
I1 0.0135 0.1645 0.7523
O1 0.0749 0.7228 0.4197
O2 0.0807 0.0628 0.9294
O3 0.1670 0.7189 0.2238
O4 0.1946 0.0818 0.6913
O5 0.2473 0.5582 0.8866
O6 0.2842 0.2348 0.3946
O7 0.3258 0.5631 0.1416
O8 0.4447 0.5893 0.6898
O9 0.4635 0.2457 0.1748
```

# TcI6O2
Calculated powder diffraction line list, Cu Kα (λ = 1.5418 Å). Input: a PBE-relaxed structure.

Peak list (12 most intense, 5° ≤ 2θ ≤ 70°, in order of rising 2θ)
hkl 0 0 2, 20.58 deg, I = 49
hkl 2 0 0, 22.43 deg, I = 45
hkl 2 1 0, 25.12 deg, I = 97
hkl 1 1 2, 26.06 deg, I = 35
hkl 2 1 2, 32.69 deg, I = 97
hkl 1 0 3, 33.13 deg, I = 69
hkl 3 1 0, 35.82 deg, I = 100
hkl 3 1 1, 37.35 deg, I = 33
hkl 3 0 3, 46.67 deg, I = 32
hkl 2 1 4, 49.45 deg, I = 30
hkl 4 2 0, 51.55 deg, I = 29
hkl 3 2 3, 52.37 deg, I = 43

Crystal structure
```
data_TcI6O2
_chemical_formula_sum 'Tc2 I12 O4'
_cell_length_a 7.9281
_cell_length_b 7.9281
_cell_length_c 8.6298
_cell_angle_alpha 90.00
_cell_angle_beta 90.00
_cell_angle_gamma 90.00
_symmetry_space_group_name_H-M 'P 4/m n c'
_symmetry_Int_Tables_number 128
_symmetry_space_group_name_Hall '-P 4 2n'
loop_
_atom_site_label
_atom_site_fract_x
_atom_site_fract_y
_atom_site_fract_z
Tc1 0.0000 0.0000 0.0000
I1 0.0000 0.0000 0.3094
I2 0.1075 0.3210 0.0000
O1 0.0000 0.5000 0.2500
```

# TcI6O2
Calculated powder diffraction line list, Cu Kα (λ = 1.5418 Å). Input: a PBE-relaxed structure.

Peak list (12 most intense, 5° ≤ 2θ ≤ 70°, in order of rising 2θ)
hkl 0 1 -1, 12.78 deg, I = 100
hkl 1 -1 0, 14.99 deg, I = 49
hkl 0 0 2, 18.10 deg, I = 55
hkl 1 -2 0, 21.75 deg, I = 33
hkl 2 0 0, 24.02 deg, I = 37
hkl 0 2 -2, 25.68 deg, I = 61
hkl 1 0 -3, 28.75 deg, I = 52
hkl 1 3 0, 29.91 deg, I = 49
hkl -1 3 1, 30.94 deg, I = 29
hkl 2 -1 2, 33.01 deg, I = 27
hkl 0 0 4, 36.67 deg, I = 55
hkl 3 1 0, 37.56 deg, I = 31

Crystal structure
```
data_TcI6O2
_chemical_formula_sum 'Tc2 I12 O4'
_cell_length_a 7.4460
_cell_length_b 9.7952
_cell_length_c 9.8502
_cell_angle_alpha 90.39
_cell_angle_beta 95.68
_cell_angle_gamma 90.04
_symmetry_space_group_name_H-M 'P 1'
_symmetry_Int_Tables_number 1
loop_
_symmetry_equiv_pos_as_xyz
'x,y,z'
loop_
_atom_site_label
_atom_site_fract_x
_atom_site_fract_y
_atom_site_fract_z
Tc1 0.0000 0.0000 0.0000
Tc2 0.4955 0.5257 0.4965
I1 0.0024 0.0035 0.2718
I2 0.0420 0.9917 0.7300
I3 0.0489 0.2844 0.0034
I4 0.1775 0.3781 0.4507
I5 0.3501 0.9157 0.0270
I6 0.4017 0.7866 0.4963
I7 0.4988 0.5194 0.7682
I8 0.5204 0.5344 0.2230
I9 0.5452 0.2439 0.4953
I10 0.6863 0.1522 0.9578
I11 0.8434 0.6148 0.5113
I12 0.8833 0.7447 0.9892
O1 0.4639 0.0291 0.8916
O2 0.4663 0.9850 0.1825
O3 0.9653 0.5020 0.3760
O4 0.9714 0.5494 0.6635
```

# TcI6O2
Calculated powder diffraction line list, Cu Kα (λ = 1.5418 Å). Input: a PBE-relaxed structure.

Peak list (12 most intense, 5° ≤ 2θ ≤ 70°, in order of rising 2θ)
hkl 1 1 -1, 12.55 deg, I = 100
hkl 0 2 0, 13.31 deg, I = 25
hkl 1 1 1, 16.04 deg, I = 23
hkl 2 2 0, 20.17 deg, I = 40
hkl 1 1 -2, 20.70 deg, I = 22
hkl 1 3 0, 21.41 deg, I = 20
hkl 1 3 -1, 22.73 deg, I = 78
hkl 2 0 2, 29.41 deg, I = 31
hkl 1 1 -3, 30.41 deg, I = 47
hkl 2 4 0, 30.90 deg, I = 34
hkl 4 2 -1, 31.85 deg, I = 26
hkl 3 3 1, 34.58 deg, I = 34

Crystal structure
```
data_TcI6O2
_chemical_formula_sum 'Tc4 I24 O8'
_cell_length_a 12.4020
_cell_length_b 13.3000
_cell_length_c 9.0725
_cell_angle_alpha 90.00
_cell_angle_beta 108.65
_cell_angle_gamma 90.00
_symmetry_space_group_name_H-M 'C 1 c 1'
_symmetry_Int_Tables_number 9
loop_
_symmetry_equiv_pos_as_xyz
'x,y,z'
'x,-y,z+1/2'
'x+1/2,y+1/2,z'
'x+1/2,-y+1/2,z+1/2'
loop_
_atom_site_label
_atom_site_fract_x
_atom_site_fract_y
_atom_site_fract_z
Tc1 0.0000 0.2338 0.0000
I1 0.0450 0.2468 0.7267
I2 0.1075 0.0717 0.1028
I3 0.1859 0.3612 0.0331
I4 0.3113 0.3717 0.4528
I5 0.3519 0.1005 0.4371
I6 0.4744 0.1857 0.7687
O1 0.2427 0.4382 0.2316
O2 0.2826 0.0739 0.2034
```

# TlIO3
Calculated powder diffraction line list, Cu Kα (λ = 1.5418 Å). Input: a PBE-relaxed structure.

Peak list (8 most intense, 5° ≤ 2θ ≤ 70°, in order of rising 2θ)
hkl 1 0 0, 20.90 deg, I = 3
hkl 1 1 0, 29.73 deg, I = 100
hkl 1 1 1, 36.63 deg, I = 6
hkl 2 0 0, 42.55 deg, I = 28
hkl 2 1 0, 47.86 deg, I = 2
hkl 2 1 1, 52.76 deg, I = 41
hkl 2 2 0, 61.74 deg, I = 18
hkl 3 0 0, 65.94 deg, I = 1

Crystal structure
```
data_TlIO3
_chemical_formula_sum 'Tl1 I1 O3'
_cell_length_a 4.2497
_cell_length_b 4.2497
_cell_length_c 4.2497
_cell_angle_alpha 90.00
_cell_angle_beta 90.00
_cell_angle_gamma 90.00
_symmetry_space_group_name_H-M 'P m -3 m'
_symmetry_Int_Tables_number 221
_symmetry_space_group_name_Hall '-P 4 2 3'
loop_
_atom_site_label
_atom_site_fract_x
_atom_site_fract_y
_atom_site_fract_z
Tl1 0.0000 0.0000 0.0000
I1 0.5000 0.5000 0.5000
O1 0.0000 0.5000 0.5000
```